Simulated X-ray powder pattern of CeCO3F for λ = 1.5418 Å (Cu Kα), from DFT lattice parameters and positions (PBE).
Lines closer than 0.1° are merged.

Atomic structure:
Cell: 7.1536 7.1536 9.8564 Å, 90.00 90.00 120.00°
Space group P-62c (No. 190)
One atom of each set of equivalent atoms:
Ce 0.0000 0.3406 0.0000 (multiplicity 6)
C 0.0295 0.7071 0.2500 (multiplicity 6)
O 0.0592 0.6755 0.6356 (multiplicity 12)
O 0.1103 0.3187 0.2500 (multiplicity 6)
F 0.0000 0.0000 0.0000 (multiplicity 2)
F 0.3333 0.6667 0.0519 (multiplicity 4)

The 8 most intense peaks (10 to 90 degrees two-theta), in order of falling intensity:
2θ 30.89, d 2.895, I = 100, (1 1 2)
2θ 24.89, d 3.577, I = 69, (1 1 0)
2θ 18.00, d 4.928, I = 53, (0 0 2)
2θ 44.66, d 2.029, I = 48, (1 1 4)
2θ 43.84, d 2.065, I = 37, (3 0 0)
2θ 47.75, d 1.905, I = 36, (3 0 2)
2θ 54.59, d 1.681, I = 22, (2 2 2)
2θ 72.50, d 1.304, I = 20, (4 1 2)



Simulated X-ray powder pattern of Sr4HoS5 for λ = 1.5418 Å (Cu Kα), from DFT lattice parameters and positions (PBE).
Lines closer than 0.1° are merged.

Atomic structure:
Cell: 9.3629 9.3629 5.9250 Å, 90.00 90.00 90.00°
Space group I4/m (No. 87)
One atom of each set of equivalent atoms:
Sr 0.0967 0.2999 0.0000 (multiplicity 8)
Ho 0.0000 0.0000 0.5000 (multiplicity 2)
S 0.0000 0.0000 0.0000 (multiplicity 2)
S 0.0944 0.2836 0.5000 (multiplicity 8)

The 8 most intense peaks (10 to 90 degrees two-theta), in order of falling intensity:
2θ 30.18, d 2.961, I = 100, (0 0 2)
2θ 43.20, d 2.094, I = 72, (1 3 2)
2θ 26.06, d 3.420, I = 51, (2 1 1)
2θ 71.20, d 1.324, I = 32, (1 3 4)
2θ 51.15, d 1.786, I = 27, (5 0 1)
2θ 53.60, d 1.710, I = 25, (4 2 2)
2θ 79.24, d 1.209, I = 24, (4 2 4)
2θ 62.75, d 1.481, I = 12, (0 0 4)



Simulated X-ray powder pattern of Pm2Y6Tm3Th for λ = 1.5418 Å (Cu Kα), from DFT lattice parameters and positions (PBE).
Lines closer than 0.1° are merged.

Atomic structure:
Cell: 6.1914 10.7114 11.8004 Å, 90.00 100.05 90.00°
Space group C2/m (No. 12)
One atom of each set of equivalent atoms:
Pm 0.0000 0.1666 0.0000 (multiplicity 4)
Y 0.2450 0.5000 0.7478 (multiplicity 4)
Y 0.2502 0.1650 0.7480 (multiplicity 8)
Tm 0.0000 0.0000 0.5000 (multiplicity 2)
Tm 0.0000 0.3329 0.5000 (multiplicity 4)
Th 0.0000 0.5000 0.0000 (multiplicity 2)

The 8 most intense peaks (10 to 90 degrees two-theta), in order of falling intensity:
2θ 30.66, d 2.916, I = 100, (1 3 1)
2θ 35.59, d 2.523, I = 67, (2 0 2)
2θ 30.78, d 2.905, I = 33, (0 0 4)
2θ 51.14, d 1.786, I = 24, (0 6 0)
2θ 51.29, d 1.781, I = 24, (1 3 5)
2θ 60.83, d 1.523, I = 23, (4 0 0)
2θ 60.89, d 1.521, I = 19, (0 6 4)
2θ 15.25, d 5.810, I = 15, (0 0 2)



Simulated X-ray powder pattern of Pm4AuN for λ = 1.5418 Å (Cu Kα), from DFT lattice parameters and positions (PBE).
Lines closer than 0.1° are merged.

Atomic structure:
Cell: 14.2502 6.1995 7.2272 Å, 90.00 106.67 90.00°
Space group C2/c (No. 15)
One atom of each set of equivalent atoms:
Pm 0.0993 0.0791 0.4533 (multiplicity 8)
Pm 0.1839 0.4371 0.1660 (multiplicity 8)
Au 0.0000 0.3620 0.7500 (multiplicity 4)
N 0.2500 0.2500 0.5000 (multiplicity 4)

The 8 most intense peaks (10 to 90 degrees two-theta), in order of falling intensity:
2θ 31.89, d 2.806, I = 100, (1 1 2)
2θ 32.82, d 2.729, I = 88, (2 2 -1)
2θ 31.08, d 2.877, I = 68, (4 0 -2)
2θ 35.94, d 2.499, I = 66, (5 1 0)
2θ 30.09, d 2.970, I = 41, (3 1 1)
2θ 51.85, d 1.763, I = 30, (3 3 1)
2θ 40.43, d 2.231, I = 20, (1 1 -3)
2θ 53.02, d 1.727, I = 20, (3 1 -4)